1.
Starting from a cell relaxed with PBE+U, the powder XRD pattern of NaV6O15 was computed for Cu Kα.

Main lines, low angle first (2θ = 5–70°):
- 9.85 deg, d = 8.982 Å, I 53, hkl 0 0 1
- 14.49 deg, d = 6.113 Å, I 42, hkl 0 1 -1
- 19.77 deg, d = 4.491 Å, I 100, hkl 0 0 2
- 19.98 deg, d = 4.444 Å, I 72, hkl -1 1 1
- 20.45 deg, d = 4.344 Å, I 53, hkl 1 1 0
- 22.10 deg, d = 4.023 Å, I 52, hkl 1 1 -1
- 23.90 deg, d = 3.724 Å, I 91, hkl 0 2 -1
- 29.64 deg, d = 3.013 Å, I 54, hkl 1 1 2
- 31.73 deg, d = 2.820 Å, I 50, hkl 2 -1 0
- 34.35 deg, d = 2.610 Å, I 23, hkl -1 1 3

Atomic structure:
abc: 5.768 8.132 9.007
angles: 91.76 93.56 98.58
Space group P1 (No. 1)
Symmetry-distinct sites (fractional):
Na 0.000 0.000 0.000 (multiplicity 1)
V 0.068 0.176 0.414 (multiplicity 1)
V 0.210 0.572 0.047 (multiplicity 1)
V 0.434 0.701 0.401 (multiplicity 1)
V 0.601 0.253 0.581 (multiplicity 1)
V 0.658 0.368 0.950 (multiplicity 1)
V 0.976 0.781 0.580 (multiplicity 1)
O 0.025 0.987 0.508 (multiplicity 1)
O 0.090 0.142 0.236 (multiplicity 1)
O 0.227 0.685 0.549 (multiplicity 1)
O 0.310 0.758 0.993 (multiplicity 1)
O 0.316 0.569 0.250 (multiplicity 1)
O 0.328 0.303 0.498 (multiplicity 1)
O 0.367 0.399 0.978 (multiplicity 1)
O 0.462 0.888 0.341 (multiplicity 1)
O 0.557 0.060 0.626 (multiplicity 1)
O 0.691 0.373 0.747 (multiplicity 1)
O 0.706 0.184 0.004 (multiplicity 1)
O 0.723 0.665 0.481 (multiplicity 1)
O 0.822 0.279 0.446 (multiplicity 1)
O 0.880 0.524 0.030 (multiplicity 1)
O 0.941 0.799 0.758 (multiplicity 1)

---

2.
Starting from a cell relaxed with PBE+U, the powder XRD pattern of NaVO3 was computed for Cu Kα.

Main lines, low angle first (2θ = 5–70°):
- 23.57 deg, d = 3.774 Å, I 74, hkl 1 0 0
- 33.58 deg, d = 2.668 Å, I 100, hkl 1 1 0
- 41.44 deg, d = 2.179 Å, I 5, hkl 1 1 1
- 48.23 deg, d = 1.887 Å, I 72, hkl 2 0 0
- 54.36 deg, d = 1.688 Å, I 21, hkl 2 1 0
- 60.05 deg, d = 1.541 Å, I 35, hkl 2 1 1

Atomic structure:
abc: 3.774 3.774 3.774
angles: 90.00 90.00 90.00
Space group Pm-3m (No. 221)
Symmetry-distinct sites (fractional):
Na 0.000 0.000 0.000 (multiplicity 1)
V 0.500 0.500 0.500 (multiplicity 1)
O 0.000 0.500 0.500 (multiplicity 3)

---

3.
Starting from a cell relaxed with PBE+U, the powder XRD pattern of NaV5O8 was computed for Cu Kα.

Main lines, low angle first (2θ = 5–70°):
- 11.92 deg, d = 7.425 Å, I 50, hkl 2 0 0
- 12.70 deg, d = 6.969 Å, I 100, hkl 0 0 1
- 14.81 deg, d = 5.982 Å, I 38, hkl 2 0 -1
- 23.81 deg, d = 3.738 Å, I 40, hkl 4 0 -1
- 29.87 deg, d = 2.992 Å, I 31, hkl 4 0 -2
- 31.25 deg, d = 2.862 Å, I 40, hkl 2 0 2
- 34.48 deg, d = 2.601 Å, I 51, hkl 3 1 0
- 34.98 deg, d = 2.565 Å, I 49, hkl 3 1 -1
- 38.68 deg, d = 2.328 Å, I 38, hkl 3 1 1
- 62.00 deg, d = 1.497 Å, I 41, hkl 9 1 -1

Atomic structure:
abc: 15.464 3.058 7.257
angles: 90.00 106.20 90.00
Space group C2/m (No. 12)
Symmetry-distinct sites (fractional):
Na 0.000 0.000 0.000 (multiplicity 2)
V 0.000 0.500 0.500 (multiplicity 2)
V 0.154 0.000 0.429 (multiplicity 4)
V 0.202 0.000 0.832 (multiplicity 4)
O 0.076 0.500 0.301 (multiplicity 4)
O 0.082 0.000 0.624 (multiplicity 4)
O 0.174 0.500 0.981 (multiplicity 4)
O 0.231 0.500 0.642 (multiplicity 4)

---

4.
Starting from a cell relaxed with PBE+U, the powder XRD pattern of NaV2O5 was computed for Cu Kα.

Main lines, low angle first (2θ = 5–70°):
- 14.49 deg, d = 6.111 Å, I 100, hkl 0 0 2
- 17.03 deg, d = 5.206 Å, I 23, hkl 1 0 2
- 23.60 deg, d = 3.770 Å, I 27, hkl 1 0 3
- 26.87 deg, d = 3.318 Å, I 70, hkl 1 1 1
- 27.90 deg, d = 3.198 Å, I 34, hkl 3 0 1
- 28.32 deg, d = 3.151 Å, I 39, hkl 2 0 3
- 29.76 deg, d = 3.002 Å, I 49, hkl 1 1 2
- 33.69 deg, d = 2.660 Å, I 25, hkl 2 1 2
- 49.61 deg, d = 1.838 Å, I 32, hkl 0 2 0
- 54.73 deg, d = 1.677 Å, I 22, hkl 2 1 6

Atomic structure:
abc: 9.941 3.675 12.222
angles: 90.00 90.00 90.00
Space group Pnma (No. 62)
Symmetry-distinct sites (fractional):
Na 0.158 0.250 0.230 (multiplicity 4)
V 0.067 0.250 0.588 (multiplicity 4)
V 0.122 0.750 0.996 (multiplicity 4)
O 0.014 0.750 0.295 (multiplicity 4)
O 0.056 0.750 0.541 (multiplicity 4)
O 0.072 0.250 0.041 (multiplicity 4)
O 0.213 0.750 0.883 (multiplicity 4)
O 0.239 0.250 0.618 (multiplicity 4)

---

5.
Starting from a cell relaxed with PBE+U, the powder XRD pattern of NaVO3 was computed for Cu Kα.

Main lines, low angle first (2θ = 5–70°):
- 16.28 deg, d = 5.446 Å, I 26, hkl 2 0 0
- 25.20 deg, d = 3.533 Å, I 100, hkl 0 2 1
- 26.35 deg, d = 3.383 Å, I 14, hkl 3 1 0
- 28.62 deg, d = 3.119 Å, I 8, hkl 2 0 -2
- 33.04 deg, d = 2.711 Å, I 13, hkl 0 0 2
- 33.15 deg, d = 2.702 Å, I 14, hkl 4 0 -2
- 34.46 deg, d = 2.603 Å, I 7, hkl 2 2 1
- 42.23 deg, d = 2.140 Å, I 13, hkl 0 4 1
- 48.62 deg, d = 1.873 Å, I 12, hkl 6 2 -2
- 48.75 deg, d = 1.868 Å, I 12, hkl 4 2 -3

Atomic structure:
abc: 12.531 9.317 6.238
angles: 90.00 119.64 90.00
Space group Cc (No. 9)
Symmetry-distinct sites (fractional):
Na 0.000 0.208 0.000 (multiplicity 4)
Na 0.002 0.209 0.504 (multiplicity 4)
V 0.222 0.415 0.473 (multiplicity 4)
V 0.280 0.084 0.031 (multiplicity 4)
O 0.127 0.105 0.878 (multiplicity 4)
O 0.154 0.254 0.400 (multiplicity 4)
O 0.171 0.497 0.675 (multiplicity 4)
O 0.331 0.004 0.829 (multiplicity 4)
O 0.347 0.247 0.101 (multiplicity 4)
O 0.375 0.392 0.626 (multiplicity 4)

---

6.
Starting from a cell relaxed with PBE+U, the powder XRD pattern of NaV3O6 was computed for Cu Kα.

Main lines, low angle first (2θ = 5–70°):
- 18.25 deg, d = 4.862 Å, I 13, hkl 0 0 1
- 20.14 deg, d = 4.409 Å, I 100, hkl 1 1 0
- 28.13 deg, d = 3.172 Å, I 76, hkl 0 2 1
- 39.00 deg, d = 2.309 Å, I 52, hkl 2 0 -2
- 44.43 deg, d = 2.039 Å, I 72, hkl 1 3 1
- 51.13 deg, d = 1.787 Å, I 18, hkl 2 2 1
- 57.63 deg, d = 1.599 Å, I 15, hkl 2 2 -3
- 57.87 deg, d = 1.593 Å, I 17, hkl 1 5 0
- 58.96 deg, d = 1.567 Å, I 19, hkl 3 3 -1
- 62.17 deg, d = 1.493 Å, I 31, hkl 2 0 2

Atomic structure:
abc: 5.690 8.372 5.333
angles: 90.00 114.28 90.00
Space group C2 (No. 5)
Symmetry-distinct sites (fractional):
Na 0.000 0.000 0.000 (multiplicity 2)
V 0.000 0.433 0.500 (multiplicity 2)
V 0.000 0.619 0.000 (multiplicity 2)
V 0.000 0.807 0.500 (multiplicity 2)
O 0.162 0.622 0.737 (multiplicity 4)
O 0.221 0.795 0.284 (multiplicity 4)
O 0.227 0.450 0.284 (multiplicity 4)

---

7.
Starting from a cell relaxed with PBE+U, the powder XRD pattern of NaV5O8 was computed for Cu Kα.

Main lines, low angle first (2θ = 5–70°):
- 11.98 deg, d = 7.386 Å, I 50, hkl 2 0 0
- 12.72 deg, d = 6.957 Å, I 100, hkl 2 0 -2
- 14.80 deg, d = 5.984 Å, I 37, hkl 0 0 2
- 23.85 deg, d = 3.731 Å, I 40, hkl 2 0 2
- 31.39 deg, d = 2.850 Å, I 39, hkl 6 0 -4
- 34.41 deg, d = 2.606 Å, I 51, hkl 3 1 0
- 34.89 deg, d = 2.571 Å, I 35, hkl 1 1 2
- 38.38 deg, d = 2.345 Å, I 45, hkl 2 0 4
- 38.67 deg, d = 2.328 Å, I 36, hkl 5 1 -2
- 62.12 deg, d = 1.494 Å, I 41, hkl 7 1 2

Atomic structure:
abc: 17.914 3.072 14.514
angles: 90.00 124.45 90.00
Space group C2 (No. 5)
Symmetry-distinct sites (fractional):
Na 0.002 0.000 0.253 (multiplicity 4)
V 0.000 0.499 0.000 (multiplicity 2)
V 0.000 0.503 0.500 (multiplicity 2)
V 0.153 0.998 0.189 (multiplicity 4)
V 0.154 0.998 0.690 (multiplicity 4)
V 0.201 0.999 0.035 (multiplicity 4)
V 0.203 0.003 0.537 (multiplicity 4)
O 0.075 0.497 0.175 (multiplicity 4)
O 0.075 0.501 0.675 (multiplicity 4)
O 0.082 0.004 0.521 (multiplicity 4)
O 0.082 0.998 0.019 (multiplicity 4)
O 0.174 0.523 0.433 (multiplicity 4)
O 0.175 0.502 0.932 (multiplicity 4)
O 0.229 0.498 0.160 (multiplicity 4)
O 0.230 0.496 0.660 (multiplicity 4)

---

8.
Starting from a cell relaxed with PBE+U, the powder XRD pattern of NaV2O4 was computed for Cu Kα.

Main lines, low angle first (2θ = 5–70°):
- 17.65 deg, d = 5.025 Å, I 100, hkl 1 0 1
- 33.17 deg, d = 2.700 Å, I 34, hkl 1 0 3
- 34.65 deg, d = 2.588 Å, I 67, hkl 2 1 1
- 35.74 deg, d = 2.513 Å, I 12, hkl 2 0 2
- 39.81 deg, d = 2.264 Å, I 23, hkl 0 0 4
- 42.32 deg, d = 2.135 Å, I 40, hkl 2 2 0
- 52.76 deg, d = 1.735 Å, I 18, hkl 1 0 5
- 55.81 deg, d = 1.647 Å, I 29, hkl 3 2 1
- 59.50 deg, d = 1.554 Å, I 42, hkl 2 2 4
- 61.40 deg, d = 1.510 Å, I 19, hkl 4 0 0

Atomic structure:
abc: 6.040 6.040 9.057
angles: 90.00 90.00 90.00
Space group I4_1/amd (No. 141, origin choice 2)
Symmetry-distinct sites (fractional):
Na 0.000 0.250 0.375 (multiplicity 4)
V 0.000 0.000 0.000 (multiplicity 8)
O 0.000 0.035 0.772 (multiplicity 16)

---

9.
Starting from a cell relaxed with PBE+U, the powder XRD pattern of NaV2O5 was computed for Cu Kα.

Main lines, low angle first (2θ = 5–70°):
- 15.82 deg, d = 5.603 Å, I 100, hkl 0 2 0
- 22.22 deg, d = 4.000 Å, I 11, hkl 0 2 2
- 25.40 deg, d = 3.506 Å, I 38, hkl 1 1 0
- 26.60 deg, d = 3.352 Å, I 30, hkl 1 1 1
- 28.34 deg, d = 3.149 Å, I 40, hkl 0 2 3
- 34.15 deg, d = 2.626 Å, I 12, hkl 1 3 0
- 34.78 deg, d = 2.579 Å, I 22, hkl 1 1 3
- 47.77 deg, d = 1.904 Å, I 12, hkl 0 0 6
- 49.39 deg, d = 1.845 Å, I 22, hkl 2 0 0
- 57.94 deg, d = 1.592 Å, I 19, hkl 1 5 4

Atomic structure:
abc: 3.691 11.206 11.424
angles: 90.00 90.00 90.00
Space group Cmcm (No. 63)
Symmetry-distinct sites (fractional):
Na 0.000 0.097 0.250 (multiplicity 4)
V 0.000 0.204 0.600 (multiplicity 8)
O 0.000 0.059 0.617 (multiplicity 8)
O 0.000 0.243 0.071 (multiplicity 8)
O 0.000 0.268 0.750 (multiplicity 4)

---

10.
Starting from a cell relaxed with PBE+U, the powder XRD pattern of NaV6O15 was computed for Cu Kα.

Main lines, low angle first (2θ = 5–70°):
- 9.23 deg, d = 9.585 Å, I 59, hkl 0 0 1
- 11.19 deg, d = 7.906 Å, I 72, hkl 2 0 0
- 18.51 deg, d = 4.793 Å, I 37, hkl 0 0 2
- 22.55 deg, d = 3.944 Å, I 60, hkl 2 0 2
- 25.15 deg, d = 3.541 Å, I 34, hkl 4 0 1
- 26.51 deg, d = 3.363 Å, I 100, hkl 1 1 -1
- 27.90 deg, d = 3.198 Å, I 55, hkl 4 0 -2
- 30.66 deg, d = 2.916 Å, I 69, hkl 4 0 2
- 31.65 deg, d = 2.827 Å, I 35, hkl 3 1 1
- 49.88 deg, d = 1.828 Å, I 48, hkl 0 2 0

Atomic structure:
abc: 15.881 3.657 9.627
angles: 90.00 95.33 90.00
Space group Cm (No. 8)
Symmetry-distinct sites (fractional):
Na 0.000 0.000 0.000 (multiplicity 2)
V 0.155 0.000 0.689 (multiplicity 2)
V 0.182 0.500 0.171 (multiplicity 2)
V 0.259 0.500 0.494 (multiplicity 2)
V 0.293 0.000 0.003 (multiplicity 2)
V 0.390 0.000 0.696 (multiplicity 2)
V 0.460 0.500 0.454 (multiplicity 2)
O 0.061 0.000 0.582 (multiplicity 2)
O 0.085 0.500 0.096 (multiplicity 2)
O 0.130 0.000 0.851 (multiplicity 2)
O 0.173 0.500 0.355 (multiplicity 2)
O 0.188 0.500 0.661 (multiplicity 2)
O 0.217 0.000 0.162 (multiplicity 2)
O 0.255 0.000 0.542 (multiplicity 2)
O 0.260 0.500 0.021 (multiplicity 2)
O 0.301 0.000 0.820 (multiplicity 2)
O 0.341 0.500 0.383 (multiplicity 2)
O 0.369 0.500 0.651 (multiplicity 2)
O 0.392 0.000 0.068 (multiplicity 2)
O 0.444 0.000 0.509 (multiplicity 2)
O 0.471 0.000 0.813 (multiplicity 2)
O 0.498 0.500 0.304 (multiplicity 2)

---

11.
Starting from a cell relaxed with PBE+U, the powder XRD pattern of Na2VO4 was computed for Cu Kα.

Main lines, low angle first (2θ = 5–70°):
- 16.97 deg, d = 5.224 Å, I 53, hkl 0 1 -1
- 20.22 deg, d = 4.391 Å, I 61, hkl 1 -1 0
- 24.83 deg, d = 3.585 Å, I 33, hkl 1 1 2
- 25.36 deg, d = 3.511 Å, I 36, hkl 1 0 -2
- 26.51 deg, d = 3.363 Å, I 44, hkl 1 2 1
- 27.52 deg, d = 3.241 Å, I 51, hkl 2 1 1
- 28.15 deg, d = 3.170 Å, I 51, hkl 0 2 -1
- 29.01 deg, d = 3.078 Å, I 100, hkl 2 0 -1
- 31.52 deg, d = 2.839 Å, I 71, hkl 0 2 2
- 33.58 deg, d = 2.669 Å, I 43, hkl 1 0 3

Atomic structure:
abc: 6.964 7.312 8.566
angles: 84.19 85.50 76.01
Space group P-1 (No. 2)
Symmetry-distinct sites (fractional):
Na 0.010 0.130 0.168 (multiplicity 2)
Na 0.177 0.311 0.459 (multiplicity 2)
Na 0.368 0.504 0.813 (multiplicity 2)
Na 0.410 0.021 0.789 (multiplicity 2)
V 0.089 0.639 0.190 (multiplicity 2)
V 0.314 0.802 0.454 (multiplicity 2)
O 0.013 0.552 0.791 (multiplicity 2)
O 0.071 0.159 0.882 (multiplicity 2)
O 0.144 0.660 0.394 (multiplicity 2)
O 0.250 0.023 0.356 (multiplicity 2)
O 0.292 0.811 0.654 (multiplicity 2)
O 0.309 0.591 0.074 (multiplicity 2)
O 0.445 0.293 0.608 (multiplicity 2)
O 0.463 0.231 0.004 (multiplicity 2)